Simulated X-ray powder pattern
Compound: Mn2TlS3
Radiation: a wavelength of 1.5418 Å
Structure: a GGA-PBE-relaxed structure
Peak positions follow from Bragg's law for the DFT cell and can differ from measured ones.

Structure:
```
Mn2TlS3
1.0
1.838 -6.843 0.000
1.838 6.843 0.000
0.000 0.000 10.769
Mn Tl S
4 2 6
Cartesian
0.000 0.000 0.000
0.000 0.000 5.384
1.838 0.782 8.077
1.838 -0.782 2.692
1.838 3.145 2.692
1.838 -3.145 8.077
1.838 6.102 8.077
1.838 1.548 5.870
1.838 1.548 10.284
1.838 -1.548 0.485
1.838 -1.548 4.899
1.838 -6.102 2.692
```

Main lines, low angle first (15° ≤ 2θ ≤ 90°):
d (Å), I/Imax
5.384, 49
4.231, 66
3.372, 50
2.767, 100
2.692, 42
2.524, 40